For Li2Bi2S3O12, DFT lattice parameters and positions (PBE) gives the theoretical PXRD pattern in this record (Cu Kα (weighted mean of Kα1 and Kα2)).
Kinematic intensities with the Lorentz-polarization factor, no thermal factor.

Most intense lines, 10 to 90 degrees two-theta, most intense first:
(hkl)	Position (°2θ)	I (rel.)
1 1 -1	13.32	100.0
3 1 1	29.72	46.7
3 1 -1	20.23	41.0
0 2 0	17.78	40.1
3 3 -1	32.56	32.3
1 1 -3	32.69	31.0
4 0 -2	25.89	26.7
0 0 2	22.64	26.6
0 2 2	28.97	25.2
1 3 -1	28.64	24.1

Structural model:
```
data_Li2Bi2S3O12
_symmetry_space_group_name_H-M 'C 1 2/c 1'
_symmetry_Int_Tables_number 15
_symmetry_space_group_name_Hall '-C 2yc'
_cell_length_a 14.695
_cell_length_b 9.979
_cell_length_c 8.999
_cell_angle_alpha 90.00
_cell_angle_beta 119.42
_cell_angle_gamma 90.00
loop_
_atom_site_label
_atom_site_type_symbol
_atom_site_fract_x
_atom_site_fract_y
_atom_site_fract_z
Li1 Li 0.228 0.121 0.056
Bi1 Bi 0.086 0.240 0.443
S1 S 0.000 0.086 0.750
S2 S 0.162 0.399 0.177
O1 O 0.045 0.169 0.668
O2 O 0.046 0.392 0.080
O3 O 0.087 0.001 0.384
O4 O 0.198 0.337 0.353
O5 O 0.200 0.461 0.704
O6 O 0.207 0.321 0.088
```